This entry pairs a crystal structure of YTi2O4 with its simulated powder XRD pattern. Radiation: CuKα. Structure: a DFT-relaxed cell (GGA-PBE, the Materials Project).
Neutral-atom scattering factors, no anomalous dispersion.

Structure:
```
YTi2O4
1.0
-3.046 3.259 4.447
3.046 -3.259 4.447
3.046 3.259 -4.447
Y Ti O
2 4 8
direct
0.000 0.000 0.000
0.500 0.000 0.500
0.000 0.000 0.500
0.000 0.500 0.000
0.377 0.627 0.750
0.623 0.373 0.250
0.232 0.739 0.493
0.241 0.254 0.513
0.241 0.727 0.987
0.255 0.261 0.993
0.745 0.739 0.007
0.759 0.273 0.013
0.759 0.746 0.487
0.768 0.261 0.507
```

Most intense lines, 10° ≤ 2θ ≤ 90°, most intense first:
32.75°, I = 100; 58.70°, I = 63; 40.55°, I = 63; 34.04°, I = 55; 33.62°, I = 51; 17.65°, I = 40

---

This entry pairs a crystal structure of KNa4Cl5 with its simulated powder XRD pattern. Radiation: CuKα. Structure: a DFT-relaxed cell (GGA-PBE, the Materials Project).
Neutral-atom scattering factors, no anomalous dispersion.

Structure:
```
KNa4Cl5
1.0
-2.051 2.960 10.339
2.051 -2.960 10.339
2.051 2.960 -10.339
K Na Cl
1 4 5
direct
0.000 0.000 0.000
0.204 0.204 0.000
0.396 0.396 0.000
0.604 0.604 0.000
0.796 0.796 0.000
0.111 0.611 0.500
0.301 0.801 0.500
0.500 0.000 0.500
0.699 0.199 0.500
0.889 0.389 0.500
```

Most intense lines, 10° ≤ 2θ ≤ 90°, most intense first:
30.70°, I = 100; 43.60°, I = 68; 30.20°, I = 54; 44.17°, I = 17; 54.43°, I = 17; 72.32°, I = 17

---

This entry pairs a crystal structure of Bi2Pb3S6 with its simulated powder XRD pattern. Radiation: CuKα. Structure: a DFT-relaxed cell (GGA-PBE, the Materials Project).
Neutral-atom scattering factors, no anomalous dispersion.

Structure:
```
Bi2Pb3S6
1.0
2.055 -6.832 0.000
2.055 6.832 0.000
0.000 0.000 20.929
Bi Pb S
4 6 12
direct
0.090 0.910 0.635
0.090 0.910 0.865
0.910 0.090 0.135
0.910 0.090 0.365
0.163 0.837 0.250
0.361 0.639 0.545
0.361 0.639 0.955
0.639 0.361 0.045
0.639 0.361 0.455
0.837 0.163 0.750
0.000 0.000 0.000
0.000 0.000 0.500
0.187 0.813 0.750
0.279 0.721 0.094
0.279 0.721 0.406
0.456 0.544 0.665
0.456 0.544 0.835
0.544 0.456 0.165
0.544 0.456 0.335
0.721 0.279 0.594
0.721 0.279 0.906
0.813 0.187 0.250
```

Most intense lines, 10° ≤ 2θ ≤ 90°, most intense first:
24.95°, I = 100; 26.03°, I = 73; 30.52°, I = 62; 43.35°, I = 44; 32.01°, I = 32; 29.59°, I = 31

---

This entry pairs a crystal structure of NbBW with its simulated powder XRD pattern. Radiation: CuKα. Structure: a DFT-relaxed cell (GGA-PBE, the Materials Project).
Neutral-atom scattering factors, no anomalous dispersion.

Structure:
```
NbBW
1.0
0.000 2.950 2.950
2.950 0.000 2.950
2.950 2.950 0.000
Nb B W
1 1 1
direct
0.000 0.000 0.000
0.750 0.750 0.750
0.250 0.250 0.250
```

Most intense lines, 10° ≤ 2θ ≤ 90°, most intense first:
26.16°, I = 100; 43.38°, I = 81; 51.36°, I = 49; 79.60°, I = 27; 69.44°, I = 20; 85.53°, I = 15